The following is a theoretical powder X-ray diffraction pattern of NpCd5Hg4Bi. It was derived from a structure optimized by DFT (PBE), using Cu Ka.

Structural model:
```
NpCd5Hg4Bi
1.0
5.4839 0.0000 0.0000
0.0000 5.4839 0.0000
0.0000 0.0000 9.9150
Np Cd Hg Bi
1 5 4 1
Direct
0.0000 0.0000 0.0000
0.0000 0.5000 0.1936
0.0000 0.5000 0.8064
0.5000 0.0000 0.1936
0.5000 0.0000 0.8064
0.5000 0.5000 0.5000
0.0000 0.0000 0.3250
0.0000 0.0000 0.6750
0.0000 0.5000 0.5000
0.5000 0.0000 0.5000
0.5000 0.5000 0.0000
```

Top 12 peaks for 10 to 90 degrees two-theta, sorted by position:
2θ/deg  I/Imax  h k l
16.16  13.7  1 0 0
24.20  12.4  1 0 2
24.65  15.7  1 1 1
31.61  17.0  1 0 3
32.66  90.0  2 0 0
35.70  100.0  1 1 3
46.86  33.1  2 2 0
49.58  13.9  2 0 4
60.27  44.4  3 1 3
66.01  18.4  2 0 6
75.61  13.2  2 2 6
77.91  15.5  4 2 0